(1)
Calculated powder diffraction line list of LiLa2TaS6 for CuKα, from a DFT-relaxed cell (GGA-PBE, Alexandria).
Kinematic intensities with the Lorentz-polarization factor, no thermal factor.

Crystal structure
```
data_LiLa2TaS6
_cell_length_a 6.889
_cell_length_b 6.889
_cell_length_c 6.889
_cell_angle_alpha 59.92
_cell_angle_beta 59.92
_cell_angle_gamma 59.92
_symmetry_space_group_name_H-M 'P 1'
_symmetry_Int_Tables_number 1
_symmetry_space_group_name_Hall 'P 1'
loop_
_atom_site_label
_atom_site_fract_x
_atom_site_fract_y
_atom_site_fract_z
Li1 0.000 0.000 0.000
La1 0.274 0.274 0.274
La2 0.776 0.776 0.776
Ta1 0.493 0.493 0.493
S1 0.144 0.710 0.348
S2 0.240 0.643 0.821
S3 0.348 0.144 0.710
S4 0.643 0.821 0.240
S5 0.710 0.348 0.144
S6 0.821 0.240 0.643
```

The 6 most intense peaks (5 to 70 degrees two-theta), in order of rising 2θ:
2theta, d (Å), I/Imax
15.8, 5.622, 49
25.9, 3.443, 100
30.4, 2.936, 36
36.9, 2.434, 37
41.5, 2.178, 24
45.7, 1.987, 58



(2)
Calculated powder diffraction line list of LiLa2ThS5 for CuKα, from a DFT-relaxed cell (GGA-PBE, Alexandria).
Kinematic intensities with the Lorentz-polarization factor, no thermal factor.

Crystal structure
```
data_LiLa2ThS5
_cell_length_a 8.675
_cell_length_b 8.675
_cell_length_c 12.195
_cell_angle_alpha 90.00
_cell_angle_beta 90.00
_cell_angle_gamma 152.99
_symmetry_space_group_name_H-M 'P 1'
_symmetry_Int_Tables_number 1
_symmetry_space_group_name_Hall 'P 1'
loop_
_atom_site_label
_atom_site_fract_x
_atom_site_fract_y
_atom_site_fract_z
Li1 0.009 0.991 0.500
Li2 0.991 0.009 0.000
La1 0.376 0.624 0.324
La2 0.389 0.611 0.711
La3 0.611 0.389 0.211
La4 0.624 0.376 0.824
Th1 0.304 0.696 0.026
Th2 0.696 0.304 0.526
S1 0.001 0.999 0.805
S2 0.139 0.861 0.024
S3 0.190 0.810 0.366
S4 0.208 0.792 0.688
S5 0.457 0.543 0.087
S6 0.543 0.457 0.587
S7 0.792 0.208 0.188
S8 0.810 0.190 0.866
S9 0.861 0.139 0.524
S10 0.999 0.001 0.305
```

The 6 most intense peaks (5 to 70 degrees two-theta), in order of rising 2θ:
2theta, d (Å), I/Imax
18.0, 4.942, 29
22.3, 3.986, 30
24.3, 3.662, 43
31.6, 2.829, 100
32.7, 2.740, 31
37.7, 2.386, 63



(3)
Calculated powder diffraction line list of Li3La3US8 for CuKα, from a DFT-relaxed cell (GGA-PBE, Alexandria).
Kinematic intensities with the Lorentz-polarization factor, no thermal factor.

Crystal structure
```
data_Li3La3US8
_cell_length_a 7.762
_cell_length_b 7.762
_cell_length_c 7.762
_cell_angle_alpha 64.80
_cell_angle_beta 64.80
_cell_angle_gamma 64.80
_symmetry_space_group_name_H-M 'P 1'
_symmetry_Int_Tables_number 1
_symmetry_space_group_name_Hall 'P 1'
loop_
_atom_site_label
_atom_site_fract_x
_atom_site_fract_y
_atom_site_fract_z
Li1 0.000 0.500 0.500
Li2 0.500 0.000 0.500
Li3 0.500 0.500 0.000
La1 0.000 0.000 0.500
La2 0.000 0.500 0.000
La3 0.500 0.000 0.000
U1 0.500 0.500 0.500
S1 0.252 0.252 0.252
S2 0.263 0.263 0.730
S3 0.263 0.730 0.263
S4 0.270 0.737 0.737
S5 0.730 0.263 0.263
S6 0.737 0.270 0.737
S7 0.737 0.737 0.270
S8 0.748 0.748 0.748
```

The 6 most intense peaks (5 to 70 degrees two-theta), in order of rising 2θ:
2theta, d (Å), I/Imax
14.5, 6.098, 98
25.2, 3.534, 81
31.6, 2.830, 100
35.0, 2.567, 34
43.5, 2.080, 40
46.1, 1.968, 33